(1)
Computed X-ray powder pattern
Compound: LiP3
Radiation: CuKα
Structure: a DFT-relaxed cell (GGA-PBE, the Materials Project)
Neutral-atom scattering factors, no anomalous dispersion.

Atomic structure:
```
LiP3
1.0
4.2343 0.0000 0.0000
-2.1172 3.6670 0.0000
0.0000 0.0000 8.0386
Li P
2 6
Direct
0.3333 0.6667 0.2500
0.6667 0.3333 0.7500
0.0000 0.0000 0.2500
0.0000 0.0000 0.7500
0.3333 0.6667 0.6069
0.3333 0.6667 0.8931
0.6667 0.3333 0.1069
0.6667 0.3333 0.3931
```

Top 10 peaks for 10° ≤ 2θ ≤ 90°, sorted by position:
2theta, I (rel.)
26.72, 71
33.07, 57
41.75, 63
42.71, 100
51.88, 35
61.26, 19
77.54, 20
78.20, 16
85.01, 18
85.84, 16

(2)
Computed X-ray powder pattern
Compound: Mg14ZnCu
Radiation: CuKα
Structure: a DFT-relaxed cell (GGA-PBE, the Materials Project)
Neutral-atom scattering factors, no anomalous dispersion.

Atomic structure:
```
Mg14ZnCu
1.0
9.9642 0.0000 0.0000
0.0000 3.1558 5.4185
0.0000 -3.1558 5.4185
Mg Zn Cu
14 1 1
Direct
0.0000 0.0000 0.0000
0.0000 0.0026 0.5012
0.0000 0.4995 0.4995
0.0000 0.5012 0.0026
0.2528 0.6661 0.6661
0.2567 0.1647 0.1647
0.2689 0.1700 0.6740
0.2689 0.6740 0.1700
0.5000 0.4946 0.9936
0.5000 0.9936 0.4946
0.7311 0.1700 0.6740
0.7311 0.6740 0.1700
0.7433 0.1647 0.1647
0.7472 0.6661 0.6661
0.5000 0.5047 0.5047
0.5000 0.0056 0.0056
```

Top 10 peaks for 10° ≤ 2θ ≤ 90°, sorted by position:
2theta, I (rel.)
18.64, 14
32.84, 26
36.06, 36
37.60, 100
37.80, 49
49.56, 16
58.92, 17
65.85, 16
71.05, 17
71.77, 13

- Number 1 is which compound?
  LiP3